Starting from a crystal structure in Alexandria, relaxed with GGA-PBE, the powder XRD pattern of ThZnN was calculated for λ = 1.5418 Å (Cu Kα).

Cell and atoms:
a b c (Å): 3.464 3.464 20.646
angles (deg): 90.00 90.00 90.00
Space group I4/mmm (No. 139)
One atom of each set of equivalent atoms:
Th 0.000 0.000 0.180 x4
Zn 0.000 0.000 0.440 x4
N 0.000 0.000 0.295 x4

Most intense lines, 10° ≤ 2θ ≤ 90°, low angle first:
(1 0 3), d = 3.094 Å, intensity 100; (1 0 5), d = 2.654 Å, intensity 44; (0 0 8), d = 2.581 Å, intensity 23; (1 1 0), d = 2.449 Å, intensity 46; (1 1 8), d = 1.776 Å, intensity 31; (2 0 0), d = 1.732 Å, intensity 16; (1 0 11), d = 1.650 Å, intensity 20; (2 1 3), d = 1.511 Å, intensity 25; (2 1 5), d = 1.450 Å, intensity 15; (2 0 8), d = 1.438 Å, intensity 15